Record 1
# NdDy4Sn4
Computed XRD peak list, Cu Ka. Input: a crystal structure in Alexandria, relaxed with GGA-PBE.

Top 12 peaks for 10° ≤ 2θ ≤ 80°, low angle first:
d/Å  2θ/deg  intensity
6.988  12.67  26
5.214  17.01  17
3.125  28.56  100
2.931  30.50  57
2.521  35.62  15
2.503  35.88  32
2.245  40.16  40
2.233  40.40  16
2.210  40.84  27
2.044  44.31  22
1.889  48.17  16
1.662  55.28  16

Crystal structure
```
NdDy4Sn4
1.0
9.8819 0.0000 0.0000
0.0000 9.8819 0.0000
0.0000 0.0000 6.1379
Nd Dy Sn
2 8 8
direct
0.2500 0.2500 0.2500
0.7500 0.7500 0.7500
0.0954 0.6475 0.1410
0.1475 0.9046 0.6410
0.3525 0.5954 0.6410
0.4046 0.8525 0.1410
0.5954 0.1475 0.8590
0.6475 0.4046 0.3590
0.8525 0.0954 0.3590
0.9046 0.3525 0.8590
0.0368 0.6122 0.6505
0.1122 0.9632 0.1505
0.3878 0.5368 0.1505
0.4632 0.8878 0.6505
0.5368 0.1122 0.3495
0.6122 0.4632 0.8495
0.8878 0.0368 0.8495
0.9632 0.3878 0.3495
```


Record 2
# Nd5DySn5
Computed XRD peak list, Cu Ka. Input: a crystal structure in Alexandria, relaxed with GGA-PBE.

Top 12 peaks for 10° ≤ 2θ ≤ 80°, low angle first:
d/Å  2θ/deg  intensity
3.094  28.85  100
3.082  28.97  76
2.949  30.31  71
2.890  30.94  27
2.648  33.85  62
2.520  35.63  21
2.184  41.35  58
2.135  42.34  59
2.012  45.06  56
1.755  52.12  16
1.370  68.51  22
1.336  70.50  15

Crystal structure
```
Nd5DySn5
1.0
8.2458 -3.0942 0.0000
8.2458 3.0942 0.0000
-1.9656 0.0000 7.0678
Nd Dy Sn
5 1 5
direct
0.0000 0.0000 0.0000
0.3222 0.3222 0.2064
0.3431 0.3431 0.7124
0.6569 0.6569 0.2876
0.6778 0.6778 0.7936
0.0000 0.0000 0.5000
0.1630 0.1630 0.8568
0.1651 0.1651 0.3923
0.5000 0.5000 0.5000
0.8349 0.8349 0.6077
0.8370 0.8370 0.1432
```